This entry pairs a crystal structure of Ho3SbSe with its calculated powder diffraction line list. Radiation: Cu Kα. Structure: the GGA-PBE geometry in Alexandria.
Peak positions follow from Bragg's law for the DFT cell and can differ from measured ones.

The 10 most intense peaks (2θ = 15–90°), in order of rising 2θ:
2θ (°)	I/Imax
23.93	16
25.03	32
26.93	100
32.15	37
34.91	31
36.74	92
38.22	15
40.43	48
54.43	17
54.78	18

Atomic structure:
a b c (Å): 4.466 10.879 10.879
angles (deg): 141.85 90.00 90.00
Atoms (fractional coordinates):
Ho: 0.250 0.061 0.939
Ho: 0.250 0.549 0.696
Ho: 0.250 0.812 0.214
Ho: 0.750 0.214 0.812
Ho: 0.750 0.696 0.549
Ho: 0.750 0.939 0.061
Sb: 0.250 0.909 0.559
Sb: 0.750 0.559 0.909
Se: 0.250 0.147 0.317
Se: 0.750 0.317 0.147